1.
Tb2BiF: simulated powder X-ray diffraction pattern (Cu Kα), based on a DFT-relaxed cell (GGA-PBE, Alexandria).
Neutral-atom scattering factors, no anomalous dispersion.

Structure:
Cell: 7.043 7.043 7.043 Å, 34.18 34.18 34.18°
Sites, in units of the cell vectors:
Tb 0.234 0.234 0.234
Tb 0.766 0.766 0.766
Bi 0.000 0.000 0.000
F 0.500 0.500 0.500

The 10 most intense peaks (2θ = 10–90°), sorted by position:
d_spacing	I (rel.)
3.528	29
2.907	100
2.662	33
2.208	11
2.070	42
2.042	28
1.686	20
1.510	20
1.406	10
1.307	17

***

2.
K3UF6: simulated powder X-ray diffraction pattern (Cu Kα), based on a DFT-relaxed cell (GGA-PBE, Alexandria).
Neutral-atom scattering factors, no anomalous dispersion.

Structure:
Cell: 7.553 7.192 6.263 Å, 67.90 61.91 50.19°
Sites, in units of the cell vectors:
K 0.000 0.000 0.000
K 0.250 0.250 0.250
K 0.750 0.750 0.750
U 0.500 0.500 0.500
F 0.164 0.580 0.836
F 0.264 0.736 0.264
F 0.420 0.836 0.580
F 0.580 0.164 0.420
F 0.736 0.264 0.736
F 0.836 0.420 0.164

The 10 most intense peaks (2θ = 10–90°), sorted by position:
d_spacing	I (rel.)
5.897	36
5.491	100
4.720	22
3.685	47
3.376	62
3.321	22
2.358	24
2.190	19
2.137	32
1.934	24